Entry 1:
SmDy2F11: theoretical powder X-ray diffraction pattern (Cu Kα, 1.54184 Å), based on a structure optimized by DFT (PBE).
Peak positions follow from Bragg's law for the DFT cell and can differ from measured ones.

Cell and atoms:
abc: 8.401 10.286 11.364
angles: 90.00 90.00 90.00
Space group Ibam (No. 72)
Inequivalent atoms, fractional coordinates:
Sm 0.000 0.000 0.250 [4 per cell]
Dy 0.158 0.311 0.000 [8 per cell]
F 0.000 0.500 0.000 [4 per cell]
F 0.104 0.173 0.141 [16 per cell]
F 0.109 0.305 0.500 [8 per cell]
F 0.209 0.077 0.368 [16 per cell]

Largest 10 diffraction maxima, low angle first, 10 to 80 degrees two-theta:
(hkl)	Position (°2θ)	intensity
0 0 2	15.60	32
1 1 2	20.76	100
1 2 1	21.72	48
0 2 2	23.33	86
2 1 1	24.19	74
2 0 2	26.39	26
1 3 0	28.11	23
1 3 4	42.71	32
1 4 3	43.90	27
3 3 2	44.73	55

Entry 2:
DySnF6: theoretical powder X-ray diffraction pattern (Cu Kα, 1.54184 Å), based on a structure optimized by DFT (PBE).
Peak positions follow from Bragg's law for the DFT cell and can differ from measured ones.

Cell and atoms:
abc: 5.602 8.619 5.591
angles: 90.00 101.48 90.00
Space group C2/m (No. 12)
Inequivalent atoms, fractional coordinates:
Dy 0.000 0.000 0.000 [2 per cell]
Sn 0.000 0.500 0.500 [2 per cell]
F 0.241 0.000 0.739 [4 per cell]
F 0.241 0.346 0.755 [8 per cell]

Largest 10 diffraction maxima, low angle first, 10 to 80 degrees two-theta:
(hkl)	Position (°2θ)	intensity
0 2 0	20.61	68
1 1 -1	22.97	100
1 1 1	27.22	61
0 2 2	38.93	46
1 3 1	40.42	44
2 0 -2	41.69	20
3 1 -1	50.50	23
0 4 2	54.13	22
1 1 3	57.20	17
1 3 -3	59.47	26

Entry 3:
DyTlF6: theoretical powder X-ray diffraction pattern (Cu Kα, 1.54184 Å), based on a structure optimized by DFT (PBE).
Peak positions follow from Bragg's law for the DFT cell and can differ from measured ones.

Cell and atoms:
abc: 5.5930 5.5930 10.4859
angles: 90.00 90.00 120.00
Space group P-31c (No. 163)
Inequivalent atoms, fractional coordinates:
Dy 0.3333 0.6667 0.2500 [2 per cell]
Tl 0.0000 0.0000 0.0000 [2 per cell]
F 0.0423 0.3340 0.1244 [12 per cell]

Largest 10 diffraction maxima, low angle first, 10 to 80 degrees two-theta:
(hkl)	Position (°2θ)	intensity
1 0 0	18.32	22
1 0 1	20.19	48
1 0 2	25.03	100
1 0 3	31.57	12
1 1 0	32.00	31
2 0 2	41.05	27
2 -1 4	47.54	39
3 -1 2	52.98	27
1 0 6	55.93	11
3 0 0	57.04	13